# 1
# CuB6N6
Computed powder X-ray diffraction pattern, Cu Kα, 1.54184 Å. Input: DFT lattice parameters and positions (GGA-PBE).

```
data_CuB6N6
_cell_length_a 4.5333
_cell_length_b 4.5333
_cell_length_c 4.5333
_cell_angle_alpha 90.00
_cell_angle_beta 90.00
_cell_angle_gamma 90.00
_space_group_name_H-M_alt 'P m -3'
_space_group_IT_number 200
_space_group_name_Hall '-P 2 2 3'
loop_
_atom_site_label
_atom_site_type_symbol
_atom_site_fract_x
_atom_site_fract_y
_atom_site_fract_z
Cu1 Cu 0.0000 0.0000 0.0000
B1 B 0.0000 0.2464 0.5000
N1 N 0.0000 0.5000 0.2525
```

The 10 most intense peaks (15° ≤ 2θ ≤ 90°), in order of rising 2θ:
| two_theta | d/Å | I (rel.) |
| --- | --- | --- |
| 19.58 | 4.533 | 100 |
| 34.26 | 2.617 | 33 |
| 39.77 | 2.267 | 41 |
| 44.70 | 2.027 | 49 |
| 49.23 | 1.851 | 80 |
| 61.35 | 1.511 | 20 |
| 68.67 | 1.367 | 11 |
| 79.03 | 1.212 | 33 |
| 85.72 | 1.133 | 9 |
| 89.04 | 1.099 | 11 |

# 2
# SmZn11
Computed powder X-ray diffraction pattern, Cu Kα, 1.54184 Å. Input: DFT lattice parameters and positions (GGA-PBE).

```
data_SmZn11
_cell_length_a 10.5829
_cell_length_b 10.5829
_cell_length_c 6.8679
_cell_angle_alpha 90.00
_cell_angle_beta 90.00
_cell_angle_gamma 90.00
_space_group_name_H-M_alt 'I 41/a m d'
_space_group_IT_number 141
loop_
_space_group_symop_operation_xyz
'x,y,z'
'-x,-y,-z'
'-y+1/4,x+3/4,z+1/4'
'y+1/4,-x+3/4,-z+1/4'
'-x+1/2,-y,z+1/2'
'x+1/2,y,-z+1/2'
'y+1/4,-x+1/4,z+3/4'
'-y+1/4,x+1/4,-z+3/4'
'x,-y,-z'
'-x,y,z'
'-y+1/4,-x+1/4,-z+3/4'
'y+1/4,x+1/4,z+3/4'
'-x+1/2,y,-z+1/2'
'x+1/2,-y,z+1/2'
'y+1/4,x+3/4,-z+1/4'
'-y+1/4,-x+3/4,z+1/4'
'x+1/2,y+1/2,z+1/2'
'-x+1/2,-y+1/2,-z+1/2'
'-y+3/4,x+1/4,z+3/4'
'y+3/4,-x+1/4,-z+3/4'
'-x,-y+1/2,z'
'x,y+1/2,-z'
'y+3/4,-x+3/4,z+1/4'
'-y+3/4,x+3/4,-z+1/4'
'x+1/2,-y+1/2,-z+1/2'
'-x+1/2,y+1/2,z+1/2'
'-y+3/4,-x+3/4,-z+1/4'
'y+3/4,x+3/4,z+1/4'
'-x,y+1/2,-z'
'x,-y+1/2,z'
'y+3/4,x+1/4,-z+3/4'
'-y+3/4,-x+1/4,z+3/4'
loop_
_atom_site_label
_atom_site_type_symbol
_atom_site_fract_x
_atom_site_fract_y
_atom_site_fract_z
Sm1 Sm 0.0000 0.2500 0.3750
Zn1 Zn 0.0000 0.0000 0.0000
Zn2 Zn 0.0000 0.2500 0.8750
Zn3 Zn 0.1216 0.0446 0.6759
```

The 10 most intense peaks (15° ≤ 2θ ≤ 90°), in order of rising 2θ:
| two_theta | d/Å | I (rel.) |
| --- | --- | --- |
| 33.19 | 2.699 | 40 |
| 37.53 | 2.397 | 100 |
| 38.03 | 2.366 | 71 |
| 40.31 | 2.238 | 32 |
| 43.93 | 2.061 | 15 |
| 44.81 | 2.023 | 50 |
| 46.61 | 1.949 | 29 |
| 57.39 | 1.606 | 18 |
| 68.37 | 1.372 | 30 |
| 81.32 | 1.183 | 14 |